Calculated PXRD pattern
Compound: Ba2DySnS5
Radiation: Cu Kα
Structure: the PBE geometry in Alexandria
Neutral-atom scattering factors, no anomalous dispersion.

Atomic structure:
```
data_Ba2DySnS5
_symmetry_space_group_name_H-M 'P 1'
_symmetry_Int_Tables_number 1
_symmetry_space_group_name_Hall 'P 1'
_cell_length_a 9.2705
_cell_length_b 9.2705
_cell_length_c 12.8575
_cell_angle_alpha 90.00
_cell_angle_beta 90.00
_cell_angle_gamma 152.78
loop_
_atom_site_label
_atom_site_type_symbol
_atom_site_fract_x
_atom_site_fract_y
_atom_site_fract_z
Ba1 Ba 0.1139 0.8861 0.5000
Ba2 Ba 0.1340 0.8660 0.1295
Ba3 Ba 0.8660 0.1340 0.6295
Ba4 Ba 0.8861 0.1139 0.0000
Dy1 Dy 0.2130 0.7870 0.8384
Dy2 Dy 0.7870 0.2130 0.3384
Sn1 Sn 0.4528 0.5472 0.2707
Sn2 Sn 0.5472 0.4528 0.7707
S1 S 0.0539 0.9461 0.8709
S2 S 0.2877 0.7123 0.4733
S3 S 0.3162 0.6838 0.1969
S4 S 0.3585 0.6415 0.8187
S5 S 0.4959 0.5041 0.5920
S6 S 0.5041 0.4959 0.0920
S7 S 0.6415 0.3585 0.3187
S8 S 0.6838 0.3162 0.6969
S9 S 0.7123 0.2877 0.9733
S10 S 0.9461 0.0539 0.3709
```

Main lines, by intensity (10° ≤ 2θ ≤ 80°):
d 3.014, I = 100.0; d 3.535, I = 77.5; d 2.925, I = 62.2; d 3.870, I = 56.1; d 3.404, I = 42.6; d 2.551, I = 38.0; d 2.182, I = 36.7; d 3.689, I = 30.8; d 1.749, I = 29.2; d 2.331, I = 20.2; d 2.096, I = 17.9; d 1.900, I = 16.4



Calculated PXRD pattern
Compound: HgSb2Au5
Radiation: Cu Kα
Structure: the PBE geometry in Alexandria
Neutral-atom scattering factors, no anomalous dispersion.

Atomic structure:
```
data_HgSb2Au5
_symmetry_space_group_name_H-M 'P 1'
_symmetry_Int_Tables_number 1
_symmetry_space_group_name_Hall 'P 1'
_cell_length_a 5.6027
_cell_length_b 12.8567
_cell_length_c 5.7615
_cell_angle_alpha 90.00
_cell_angle_beta 96.47
_cell_angle_gamma 90.00
loop_
_atom_site_label
_atom_site_type_symbol
_atom_site_fract_x
_atom_site_fract_y
_atom_site_fract_z
Hg1 Hg 0.0938 0.2500 0.0959
Hg2 Hg 0.9062 0.7500 0.9041
Sb1 Sb 0.2706 0.5400 0.1813
Sb2 Sb 0.2706 0.9600 0.1813
Sb3 Sb 0.7294 0.0400 0.8187
Sb4 Sb 0.7294 0.4600 0.8187
Au1 Au 0.1798 0.5041 0.6995
Au2 Au 0.1798 0.9959 0.6995
Au3 Au 0.2855 0.7500 0.2444
Au4 Au 0.4396 0.1417 0.3989
Au5 Au 0.4396 0.3583 0.3989
Au6 Au 0.5604 0.6417 0.6011
Au7 Au 0.5604 0.8583 0.6011
Au8 Au 0.7145 0.2500 0.7556
Au9 Au 0.8202 0.0041 0.3005
Au10 Au 0.8202 0.4959 0.3005
```

Main lines, by intensity (10° ≤ 2θ ≤ 80°):
d 3.538, I = 100.0; d 4.237, I = 57.8; d 2.784, I = 48.8; d 2.394, I = 46.7; d 2.359, I = 40.3; d 2.118, I = 40.0; d 2.619, I = 37.2; d 2.104, I = 29.2; d 2.334, I = 28.0; d 3.214, I = 26.7; d 2.138, I = 22.5; d 2.556, I = 21.2



Calculated PXRD pattern
Compound: Tm4CdS7
Radiation: Cu Kα
Structure: the PBE geometry in Alexandria
Neutral-atom scattering factors, no anomalous dispersion.

Atomic structure:
```
data_Tm4CdS7
_symmetry_space_group_name_H-M 'P 1'
_symmetry_Int_Tables_number 1
_symmetry_space_group_name_Hall 'P 1'
_cell_length_a 6.5630
_cell_length_b 6.5630
_cell_length_c 11.5281
_cell_angle_alpha 104.76
_cell_angle_beta 104.76
_cell_angle_gamma 33.47
loop_
_atom_site_label
_atom_site_type_symbol
_atom_site_fract_x
_atom_site_fract_y
_atom_site_fract_z
Tm1 Tm 0.0000 0.0000 0.0000
Tm2 Tm 0.3869 0.3869 0.6012
Tm3 Tm 0.5922 0.5922 0.3852
Tm4 Tm 0.6945 0.6945 0.8129
Cd1 Cd 0.8185 0.8185 0.2284
S1 S 0.0354 0.0354 0.7566
S2 S 0.2254 0.2254 0.3439
S3 S 0.3544 0.3544 0.8596
S4 S 0.4511 0.4511 0.1620
S5 S 0.6584 0.6584 0.0281
S6 S 0.7383 0.7383 0.6007
S7 S 0.9674 0.9674 0.4575
```

Main lines, by intensity (10° ≤ 2θ ≤ 80°):
d 3.615, I = 100.0; d 3.641, I = 80.7; d 3.142, I = 60.8; d 1.890, I = 47.7; d 2.673, I = 46.4; d 1.676, I = 36.3; d 2.571, I = 34.1; d 2.800, I = 33.9; d 3.354, I = 30.9; d 2.760, I = 29.2; d 2.121, I = 27.1; d 2.041, I = 25.2



Calculated PXRD pattern
Compound: Pr2Mn2InPt5
Radiation: Cu Kα
Structure: the PBE geometry in Alexandria
Neutral-atom scattering factors, no anomalous dispersion.

Atomic structure:
```
data_Pr2Mn2InPt5
_symmetry_space_group_name_H-M 'P 1'
_symmetry_Int_Tables_number 1
_symmetry_space_group_name_Hall 'P 1'
_cell_length_a 9.7190
_cell_length_b 9.7190
_cell_length_c 4.0081
_cell_angle_alpha 90.00
_cell_angle_beta 90.00
_cell_angle_gamma 90.00
loop_
_atom_site_label
_atom_site_type_symbol
_atom_site_fract_x
_atom_site_fract_y
_atom_site_fract_z
Pr1 Pr 0.1797 0.3203 0.0000
Pr2 Pr 0.3203 0.8203 0.0000
Pr3 Pr 0.6797 0.1797 0.0000
Pr4 Pr 0.8203 0.6797 0.0000
Mn1 Mn 0.1185 0.6185 0.0000
Mn2 Mn 0.3815 0.1185 0.0000
Mn3 Mn 0.6185 0.8815 0.0000
Mn4 Mn 0.8815 0.3815 0.0000
In1 In 0.0000 0.0000 0.0000
In2 In 0.5000 0.5000 0.0000
Pt1 Pt 0.0000 0.5000 0.5000
Pt2 Pt 0.0638 0.7870 0.5000
Pt3 Pt 0.2130 0.0638 0.5000
Pt4 Pt 0.2870 0.5638 0.5000
Pt5 Pt 0.4362 0.2870 0.5000
Pt6 Pt 0.5000 0.0000 0.5000
Pt7 Pt 0.5638 0.7130 0.5000
Pt8 Pt 0.7130 0.4362 0.5000
Pt9 Pt 0.7870 0.9362 0.5000
Pt10 Pt 0.9362 0.2130 0.5000
```

Main lines, by intensity (10° ≤ 2θ ≤ 80°):
d 2.439, I = 100.0; d 2.357, I = 57.6; d 2.237, I = 45.4; d 2.947, I = 38.5; d 2.609, I = 35.8; d 2.004, I = 33.7; d 1.527, I = 30.1; d 2.173, I = 20.3; d 4.008, I = 19.1; d 1.300, I = 17.6; d 1.419, I = 15.2; d 2.291, I = 14.6



Calculated PXRD pattern
Compound: Pr2InGa12
Radiation: Cu Kα
Structure: the PBE geometry in Alexandria
Neutral-atom scattering factors, no anomalous dispersion.

Atomic structure:
```
data_Pr2InGa12
_symmetry_space_group_name_H-M 'P 1'
_symmetry_Int_Tables_number 1
_symmetry_space_group_name_Hall 'P 1'
_cell_length_a 6.0196
_cell_length_b 6.0196
_cell_length_c 17.4989
_cell_angle_alpha 90.00
_cell_angle_beta 90.00
_cell_angle_gamma 90.00
loop_
_atom_site_label
_atom_site_type_symbol
_atom_site_fract_x
_atom_site_fract_y
_atom_site_fract_z
Pr1 Pr 0.2500 0.7500 0.2216
Pr2 Pr 0.2500 0.7500 0.7784
Pr3 Pr 0.7500 0.2500 0.2216
Pr4 Pr 0.7500 0.2500 0.7784
In1 In 0.2500 0.7500 0.5000
In2 In 0.7500 0.2500 0.5000
Ga1 Ga 0.0020 0.5020 0.3844
Ga2 Ga 0.0020 0.9980 0.6156
Ga3 Ga 0.0661 0.5661 0.9346
Ga4 Ga 0.0661 0.9339 0.0654
Ga5 Ga 0.2500 0.2500 0.1491
Ga6 Ga 0.2500 0.2500 0.2932
Ga7 Ga 0.2500 0.2500 0.7068
Ga8 Ga 0.2500 0.2500 0.8509
Ga9 Ga 0.4339 0.5661 0.0654
Ga10 Ga 0.4339 0.9339 0.9346
Ga11 Ga 0.4980 0.5020 0.6156
Ga12 Ga 0.4980 0.9980 0.3844
Ga13 Ga 0.5020 0.0020 0.6156
Ga14 Ga 0.5020 0.4980 0.3844
Ga15 Ga 0.5661 0.0661 0.0654
Ga16 Ga 0.5661 0.4339 0.9346
Ga17 Ga 0.7500 0.7500 0.1491
Ga18 Ga 0.7500 0.7500 0.2932
Ga19 Ga 0.7500 0.7500 0.7068
Ga20 Ga 0.7500 0.7500 0.8509
Ga21 Ga 0.9339 0.0661 0.9346
Ga22 Ga 0.9339 0.4339 0.0654
Ga23 Ga 0.9980 0.0020 0.3844
Ga24 Ga 0.9980 0.4980 0.6156
```

Main lines, by intensity (10° ≤ 2θ ≤ 80°):
d 2.128, I = 100.0; d 2.846, I = 86.9; d 2.675, I = 85.8; d 2.156, I = 83.9; d 2.480, I = 83.6; d 3.051, I = 63.5; d 1.514, I = 33.6; d 3.438, I = 27.3; d 1.745, I = 26.2; d 1.505, I = 24.2; d 1.234, I = 22.1; d 2.094, I = 19.7



Calculated PXRD pattern
Compound: K3Be2F8
Radiation: Cu Kα
Structure: the PBE geometry in Alexandria
Neutral-atom scattering factors, no anomalous dispersion.

Atomic structure:
```
data_K3Be2F8
_symmetry_space_group_name_H-M 'P 1'
_symmetry_Int_Tables_number 1
_symmetry_space_group_name_Hall 'P 1'
_cell_length_a 7.6796
_cell_length_b 7.6796
_cell_length_c 7.6796
_cell_angle_alpha 43.30
_cell_angle_beta 43.30
_cell_angle_gamma 43.30
loop_
_atom_site_label
_atom_site_type_symbol
_atom_site_fract_x
_atom_site_fract_y
_atom_site_fract_z
K1 K 0.0000 0.0000 0.0000
K2 K 0.2059 0.2059 0.2059
K3 K 0.7941 0.7941 0.7941
Be1 Be 0.4103 0.4103 0.4103
Be2 Be 0.5897 0.5897 0.5897
F1 F 0.2646 0.7171 0.7171
F2 F 0.2829 0.2829 0.7354
F3 F 0.2829 0.7354 0.2829
F4 F 0.3351 0.3351 0.3351
F5 F 0.6649 0.6649 0.6649
F6 F 0.7171 0.2646 0.7171
F7 F 0.7171 0.7171 0.2646
F8 F 0.7354 0.2829 0.2829
```

Main lines, by intensity (10° ≤ 2θ ≤ 80°):
d 2.833, I = 100.0; d 3.177, I = 84.9; d 2.388, I = 73.0; d 2.115, I = 61.1; d 2.220, I = 55.5; d 2.196, I = 50.9; d 2.316, I = 45.9; d 1.417, I = 33.6; d 1.894, I = 21.5; d 1.793, I = 20.7; d 1.248, I = 19.9; d 1.208, I = 19.5



Calculated PXRD pattern
Compound: LiAcPb
Radiation: Cu Kα
Structure: the PBE geometry in Alexandria
Neutral-atom scattering factors, no anomalous dispersion.

Atomic structure:
```
data_LiAcPb
_symmetry_space_group_name_H-M 'P 1'
_symmetry_Int_Tables_number 1
_symmetry_space_group_name_Hall 'P 1'
_cell_length_a 4.9802
_cell_length_b 4.9802
_cell_length_c 8.4853
_cell_angle_alpha 90.00
_cell_angle_beta 90.00
_cell_angle_gamma 120.00
loop_
_atom_site_label
_atom_site_type_symbol
_atom_site_fract_x
_atom_site_fract_y
_atom_site_fract_z
Li1 Li 0.3333 0.6667 0.2500
Li2 Li 0.6667 0.3333 0.7500
Ac1 Ac 0.0000 0.0000 0.0000
Ac2 Ac 0.0000 0.0000 0.5000
Pb1 Pb 0.3333 0.6667 0.7500
Pb2 Pb 0.6667 0.3333 0.2500
```

Main lines, by intensity (10° ≤ 2θ ≤ 80°):
d 3.025, I = 100.0; d 2.490, I = 52.1; d 3.845, I = 51.0; d 1.615, I = 28.7; d 1.922, I = 28.3; d 1.522, I = 27.0; d 4.313, I = 15.1; d 2.365, I = 14.6; d 2.121, I = 11.0; d 2.090, I = 10.3; d 1.438, I = 9.8; d 1.601, I = 9.0



Calculated PXRD pattern
Compound: U2Pd5Au5
Radiation: Cu Kα
Structure: the PBE geometry in Alexandria
Neutral-atom scattering factors, no anomalous dispersion.

Atomic structure:
```
data_U2Pd5Au5
_symmetry_space_group_name_H-M 'P 1'
_symmetry_Int_Tables_number 1
_symmetry_space_group_name_Hall 'P 1'
_cell_length_a 5.4298
_cell_length_b 5.4298
_cell_length_c 9.3923
_cell_angle_alpha 106.47
_cell_angle_beta 106.47
_cell_angle_gamma 59.86
loop_
_atom_site_label
_atom_site_type_symbol
_atom_site_fract_x
_atom_site_fract_y
_atom_site_fract_z
U1 U 0.0000 0.0000 0.0000
U2 U 0.5019 0.5019 0.4963
Pd1 Pd 0.3826 0.3826 0.1198
Pd2 Pd 0.4416 0.4416 0.8123
Pd3 Pd 0.6921 0.6921 0.0595
Pd4 Pd 0.8828 0.8828 0.6229
Pd5 Pd 0.9427 0.9427 0.3070
Au1 Au 0.1926 0.1926 0.5605
Au2 Au 0.4409 0.9418 0.8120
Au3 Au 0.4447 0.9422 0.3068
Au4 Au 0.9418 0.4409 0.8120
Au5 Au 0.9422 0.4447 0.3068
```

Main lines, by intensity (10° ≤ 2θ ≤ 80°):
d 2.312, I = 100.0; d 2.321, I = 33.6; d 2.221, I = 28.1; d 2.713, I = 25.9; d 2.212, I = 24.8; d 1.355, I = 18.3; d 1.481, I = 17.8; d 1.475, I = 15.5; d 1.357, I = 12.3; d 2.726, I = 11.6; d 1.478, I = 11.1; d 4.444, I = 10.6



Calculated PXRD pattern
Compound: NdHo3Ni2
Radiation: Cu Kα
Structure: the PBE geometry in Alexandria
Neutral-atom scattering factors, no anomalous dispersion.

Atomic structure:
```
data_NdHo3Ni2
_symmetry_space_group_name_H-M 'P 1'
_symmetry_Int_Tables_number 1
_symmetry_space_group_name_Hall 'P 1'
_cell_length_a 8.2795
_cell_length_b 8.2795
_cell_length_c 11.4804
_cell_angle_alpha 122.63
_cell_angle_beta 122.63
_cell_angle_gamma 27.30
loop_
_atom_site_label
_atom_site_type_symbol
_atom_site_fract_x
_atom_site_fract_y
_atom_site_fract_z
Nd1 Nd 0.1503 0.1503 0.2437
Nd2 Nd 0.8497 0.8497 0.7563
Ho1 Ho 0.1545 0.1545 0.7477
Ho2 Ho 0.4157 0.4157 0.0620
Ho3 Ho 0.4182 0.4182 0.5554
Ho4 Ho 0.5818 0.5818 0.4446
Ho5 Ho 0.5843 0.5843 0.9380
Ho6 Ho 0.8455 0.8455 0.2523
Ni1 Ni 0.2310 0.2310 0.5498
Ni2 Ni 0.2317 0.2317 0.0479
Ni3 Ni 0.7683 0.7683 0.9521
Ni4 Ni 0.7690 0.7690 0.4502
```

Main lines, by intensity (10° ≤ 2θ ≤ 80°):
d 2.749, I = 100.0; d 3.050, I = 68.0; d 2.819, I = 45.6; d 1.954, I = 43.6; d 2.940, I = 43.5; d 2.667, I = 42.5; d 2.484, I = 37.1; d 2.173, I = 28.3; d 2.792, I = 27.2; d 1.646, I = 24.7; d 1.591, I = 24.1; d 2.209, I = 23.5



Calculated PXRD pattern
Compound: Nd3CuAg3
Radiation: Cu Kα
Structure: the PBE geometry in Alexandria
Neutral-atom scattering factors, no anomalous dispersion.

Atomic structure:
```
data_Nd3CuAg3
_symmetry_space_group_name_H-M 'P 1'
_symmetry_Int_Tables_number 1
_symmetry_space_group_name_Hall 'P 1'
_cell_length_a 3.7311
_cell_length_b 4.7245
_cell_length_c 19.9099
_cell_angle_alpha 90.00
_cell_angle_beta 90.00
_cell_angle_gamma 90.00
loop_
_atom_site_label
_atom_site_type_symbol
_atom_site_fract_x
_atom_site_fract_y
_atom_site_fract_z
Nd1 Nd 0.0000 0.0000 0.0000
Nd2 Nd 0.0000 0.0000 0.3755
Nd3 Nd 0.0000 0.5000 0.1954
Nd4 Nd 0.5000 0.0000 0.6954
Nd5 Nd 0.5000 0.5000 0.5000
Nd6 Nd 0.5000 0.5000 0.8755
Cu1 Cu 0.0000 0.5000 0.7588
Cu2 Cu 0.5000 0.0000 0.2588
Ag1 Ag 0.0000 0.0000 0.5490
Ag2 Ag 0.0000 0.0000 0.8277
Ag3 Ag 0.0000 0.5000 0.6290
Ag4 Ag 0.5000 0.0000 0.1290
Ag5 Ag 0.5000 0.5000 0.0490
Ag6 Ag 0.5000 0.5000 0.3277
```

Main lines, by intensity (10° ≤ 2θ ≤ 80°):
d 2.809, I = 100.0; d 2.723, I = 54.5; d 2.437, I = 52.8; d 2.362, I = 40.7; d 2.524, I = 33.5; d 1.784, I = 30.8; d 1.481, I = 23.5; d 1.341, I = 20.6; d 1.628, I = 19.9; d 1.866, I = 19.7; d 1.464, I = 18.1; d 2.196, I = 17.8



Calculated PXRD pattern
Compound: Rb2CaAs2
Radiation: Cu Kα
Structure: the PBE geometry in Alexandria
Neutral-atom scattering factors, no anomalous dispersion.

Atomic structure:
```
data_Rb2CaAs2
_symmetry_space_group_name_H-M 'P 1'
_symmetry_Int_Tables_number 1
_symmetry_space_group_name_Hall 'P 1'
_cell_length_a 7.6779
_cell_length_b 7.6779
_cell_length_c 5.7668
_cell_angle_alpha 90.00
_cell_angle_beta 90.00
_cell_angle_gamma 90.00
loop_
_atom_site_label
_atom_site_type_symbol
_atom_site_fract_x
_atom_site_fract_y
_atom_site_fract_z
Rb1 Rb 0.1643 0.3357 0.0000
Rb2 Rb 0.3357 0.8357 0.0000
Rb3 Rb 0.6643 0.1643 0.0000
Rb4 Rb 0.8357 0.6643 0.0000
Ca1 Ca 0.0000 0.0000 0.5000
Ca2 Ca 0.5000 0.5000 0.5000
As1 As 0.1186 0.6186 0.5000
As2 As 0.3814 0.1186 0.5000
As3 As 0.6186 0.8814 0.5000
As4 As 0.8814 0.3814 0.5000
```

Main lines, by intensity (10° ≤ 2θ ≤ 80°):
d 2.950, I = 100.0; d 2.883, I = 29.1; d 3.196, I = 21.1; d 2.428, I = 21.0; d 1.857, I = 18.2; d 1.677, I = 18.2; d 5.429, I = 14.7; d 1.998, I = 9.6; d 1.384, I = 8.5; d 1.457, I = 6.1; d 1.598, I = 6.1; d 1.919, I = 5.5



Calculated PXRD pattern
Compound: NaYIn4S8
Radiation: Cu Kα
Structure: the PBE geometry in Alexandria
Neutral-atom scattering factors, no anomalous dispersion.

Atomic structure:
```
data_NaYIn4S8
_symmetry_space_group_name_H-M 'P 1'
_symmetry_Int_Tables_number 1
_symmetry_space_group_name_Hall 'P 1'
_cell_length_a 7.9171
_cell_length_b 7.9171
_cell_length_c 7.9171
_cell_angle_alpha 59.51
_cell_angle_beta 59.51
_cell_angle_gamma 59.51
loop_
_atom_site_label
_atom_site_type_symbol
_atom_site_fract_x
_atom_site_fract_y
_atom_site_fract_z
Na1 Na 0.0000 0.0000 0.0000
Y1 Y 0.3652 0.3652 0.3652
In1 In 0.3665 0.3665 0.8919
In2 In 0.3665 0.8919 0.3665
In3 In 0.7491 0.7491 0.7491
In4 In 0.8919 0.3665 0.3665
S1 S 0.1250 0.1250 0.5962
S2 S 0.1250 0.5962 0.1250
S3 S 0.1341 0.1341 0.1341
S4 S 0.1458 0.6163 0.6163
S5 S 0.5962 0.1250 0.1250
S6 S 0.6127 0.6127 0.6127
S7 S 0.6163 0.1458 0.6163
S8 S 0.6163 0.6163 0.1458
```

Main lines, by intensity (10° ≤ 2θ ≤ 80°):
d 3.358, I = 100.0; d 2.789, I = 61.8; d 1.965, I = 47.4; d 1.979, I = 47.1; d 2.144, I = 44.9; d 3.379, I = 31.0; d 6.425, I = 27.7; d 6.488, I = 21.0; d 5.577, I = 19.7; d 2.153, I = 19.2; d 3.958, I = 15.1; d 1.394, I = 13.6



- Which formula does entry 12 have?
  NaYIn4S8